# 1
# LiMg6Si
Calculated PXRD pattern, copper Kα. Input: DFT lattice parameters and positions (GGA-PBE).
Lines closer than 0.1° are merged.

Principal peaks in the range 10 to 90 degrees two-theta, low angle first:
2theta, d/Å, I_rel
33.31, 2.690, 25
36.21, 2.481, 26
38.05, 2.365, 100
50.01, 1.824, 15
59.52, 1.553, 17
66.35, 1.409, 18
71.70, 1.316, 19
72.86, 1.298, 13

Cell and atoms:
```
LiMg6Si
1.0
4.961 0.000 0.000
0.000 3.106 5.380
0.000 -3.106 5.380
Li Mg Si
1 6 1
Direct
0.000 0.000 0.000 Li
0.000 0.504 0.504 Mg
0.000 0.511 0.999 Mg
0.000 0.999 0.511 Mg
0.500 0.332 0.837 Mg
0.500 0.337 0.337 Mg
0.500 0.837 0.332 Mg
0.500 0.837 0.837 Si
```

# 2
# IrSe2
Calculated PXRD pattern, copper Kα. Input: DFT lattice parameters and positions (GGA-PBE).
Lines closer than 0.1° are merged.

Principal peaks in the range 10 to 90 degrees two-theta, low angle first:
2theta, d/Å, I_rel
19.34, 4.589, 42
25.65, 3.474, 44
28.85, 3.095, 89
32.53, 2.753, 39
41.86, 2.158, 31
43.85, 2.065, 26
47.77, 1.904, 100
51.47, 1.775, 39

Cell and atoms:
```
IrSe2
1.0
21.263 0.000 0.000
0.000 3.807 0.000
0.000 0.000 6.021
Ir Se
8 16
Direct
0.077 0.250 0.070 Ir
0.195 0.750 0.559 Ir
0.305 0.250 0.059 Ir
0.423 0.750 0.570 Ir
0.577 0.250 0.430 Ir
0.695 0.750 0.941 Ir
0.805 0.250 0.441 Ir
0.923 0.750 0.930 Ir
0.009 0.750 0.223 Se
0.122 0.250 0.452 Se
0.138 0.750 0.927 Se
0.239 0.750 0.183 Se
0.261 0.250 0.683 Se
0.362 0.250 0.427 Se
0.378 0.750 0.952 Se
0.491 0.250 0.723 Se
0.509 0.750 0.277 Se
0.622 0.250 0.048 Se
0.638 0.750 0.573 Se
0.739 0.750 0.317 Se
0.761 0.250 0.817 Se
0.862 0.250 0.073 Se
0.878 0.750 0.548 Se
0.991 0.250 0.777 Se
```

# 3
# Li3ReN2
Calculated PXRD pattern, copper Kα. Input: DFT lattice parameters and positions (GGA-PBE).
Lines closer than 0.1° are merged.

Principal peaks in the range 10 to 90 degrees two-theta, low angle first:
2theta, d/Å, I_rel
14.61, 6.063, 100
24.73, 3.600, 59
26.83, 3.323, 23
28.84, 3.096, 51
35.25, 2.546, 22
40.74, 2.215, 38
48.24, 1.886, 19
66.99, 1.397, 18

Cell and atoms:
```
Li3ReN2
1.0
-3.600 3.600 5.618
3.600 -3.600 5.618
3.600 3.600 -5.618
Li Re N
12 4 8
Direct
0.119 0.369 0.238 Li
0.119 0.881 0.750 Li
0.257 0.507 0.750 Li
0.369 0.119 0.738 Li
0.369 0.631 0.250 Li
0.493 0.743 0.750 Li
0.507 0.257 0.250 Li
0.631 0.369 0.750 Li
0.631 0.881 0.262 Li
0.743 0.493 0.250 Li
0.881 0.119 0.250 Li
0.881 0.631 0.762 Li
0.009 0.759 0.250 Re
0.241 0.991 0.250 Re
0.759 0.009 0.750 Re
0.991 0.241 0.750 Re
0.166 0.689 0.477 N
0.288 0.311 0.977 N
0.311 0.288 0.477 N
0.311 0.834 0.023 N
0.689 0.166 0.977 N
0.689 0.712 0.523 N
0.712 0.689 0.023 N
0.834 0.311 0.523 N
```

# 4
# Rb3FeCl5
Calculated PXRD pattern, copper Kα. Input: DFT lattice parameters and positions (GGA-PBE).
Lines closer than 0.1° are merged.

Principal peaks in the range 10 to 90 degrees two-theta, low angle first:
2theta, d/Å, I_rel
23.22, 3.831, 52
24.28, 3.666, 20
28.09, 3.177, 30
28.76, 3.104, 100
31.49, 2.841, 46
37.46, 2.401, 21
42.08, 2.147, 22
45.12, 2.009, 15

Cell and atoms:
```
Rb3FeCl5
1.0
-4.493 4.493 7.332
4.493 -4.493 7.332
4.493 4.493 -7.332
Rb Fe Cl
6 2 10
Direct
0.168 0.668 0.835 Rb
0.250 0.250 0.000 Rb
0.332 0.168 0.500 Rb
0.668 0.832 0.500 Rb
0.750 0.750 0.000 Rb
0.832 0.332 0.165 Rb
0.250 0.750 0.500 Fe
0.750 0.250 0.500 Fe
0.000 0.000 0.000 Cl
0.011 0.796 0.500 Cl
0.204 0.704 0.216 Cl
0.296 0.511 0.500 Cl
0.489 0.989 0.784 Cl
0.500 0.500 0.000 Cl
0.511 0.011 0.216 Cl
0.704 0.489 0.500 Cl
0.796 0.296 0.784 Cl
0.989 0.204 0.500 Cl
```

# 5
# TbB4Ru
Calculated PXRD pattern, copper Kα. Input: DFT lattice parameters and positions (GGA-PBE).
Lines closer than 0.1° are merged.

Principal peaks in the range 10 to 90 degrees two-theta, low angle first:
2theta, d/Å, I_rel
24.94, 3.570, 76
30.92, 2.892, 83
37.50, 2.398, 20
38.11, 2.361, 20
40.13, 2.247, 100
43.02, 2.103, 24
46.09, 1.969, 28
61.00, 1.519, 24

Cell and atoms:
```
TbB4Ru
1.0
5.976 0.000 0.000
0.000 11.560 0.000
0.000 0.000 3.570
Tb B Ru
4 16 4
Direct
0.129 0.150 0.000 Tb
0.371 0.650 0.000 Tb
0.629 0.350 0.000 Tb
0.871 0.850 0.000 Tb
0.024 0.692 0.500 B
0.112 0.547 0.500 B
0.136 0.969 0.500 B
0.211 0.815 0.500 B
0.289 0.315 0.500 B
0.364 0.469 0.500 B
0.388 0.047 0.500 B
0.476 0.192 0.500 B
0.524 0.808 0.500 B
0.612 0.953 0.500 B
0.636 0.531 0.500 B
0.711 0.685 0.500 B
0.789 0.185 0.500 B
0.864 0.031 0.500 B
0.888 0.453 0.500 B
0.976 0.308 0.500 B
0.139 0.408 0.000 Ru
0.361 0.908 0.000 Ru
0.639 0.092 0.000 Ru
0.861 0.592 0.000 Ru
```